Starting from the GGA+U geometry in Alexandria, the powder diffraction line list of Cs3AcMo2O8 was calculated for Cu Kα (λ = 1.5418 Å).
No peak broadening, texture or thermal motion is included.

Structural model:
```
data_Cs3AcMo2O8
_cell_length_a 6.5626
_cell_length_b 6.5626
_cell_length_c 8.5482
_cell_angle_alpha 90.00
_cell_angle_beta 90.00
_cell_angle_gamma 120.00
_space_group_name_H-M_alt 'P -3 m 1'
_space_group_IT_number 164
_space_group_name_Hall '-P 3 2"'
loop_
_atom_site_label
_atom_site_fract_x
_atom_site_fract_y
_atom_site_fract_z
Cs1 0.0000 0.0000 0.0000
Cs2 0.3333 0.6667 0.6976
Ac1 0.0000 0.0000 0.5000
Mo1 0.3333 0.6667 0.2464
O1 0.1784 0.3567 0.3283
O2 0.3333 0.6667 0.0354
```

Principal peaks in the range 2θ from 10° to 90°, by intensity:
| 2theta | I_rel |
| --- | --- |
| 26.09 | 100 |
| 27.18 | 99 |
| 38.03 | 46 |
| 47.36 | 39 |
| 51.00 | 22 |
| 48.02 | 20 |
| 62.84 | 18 |
| 56.05 | 17 |
| 10.35 | 15 |
| 76.87 | 10 |